1.
# AcNdCuS4
Theoretical powder X-ray diffraction pattern, Cu Kα, 1.54184 Å. Input: a PBE-relaxed structure.

Largest 8 diffraction maxima, in order of rising 2θ, 2θ = 10–90°:
(1 1 0), d = 4.346 Å, I 76; (2 0 0), d = 3.275 Å, I 100; (0 2 0), d = 2.904 Å, I 39; (1 1 2), d = 2.680 Å, I 34; (2 1 -2), d = 2.668 Å, I 33; (0 2 2), d = 2.343 Å, I 34; (2 2 0), d = 2.173 Å, I 37; (1 0 -4), d = 2.078 Å, I 48

Structure:
abc: 6.863 5.808 8.321
angles: 90.00 107.33 90.00
Fractional coordinates of all 14 atoms:
Ac (0.231, 0.250, 0.432)
Ac (0.769, 0.750, 0.568)
Nd (0.239, 0.250, 0.938)
Nd (0.761, 0.750, 0.062)
Cu (0.255, 0.750, 0.185)
Cu (0.745, 0.250, 0.815)
S (0.071, 0.750, 0.378)
S (0.076, 0.750, 0.905)
S (0.488, 0.512, 0.756)
S (0.488, 0.988, 0.756)
S (0.512, 0.012, 0.244)
S (0.512, 0.488, 0.244)
S (0.924, 0.250, 0.095)
S (0.929, 0.250, 0.622)

---

2.
# Ac4CuNi
Theoretical powder X-ray diffraction pattern, Cu Kα, 1.54184 Å. Input: a PBE-relaxed structure.

Largest 8 diffraction maxima, in order of rising 2θ, 2θ = 10–90°:
(1 2 0), d = 3.566 Å, I 100; (1 0 -2), d = 3.488 Å, I 56; (1 0 2), d = 3.071 Å, I 56; (0 2 2), d = 2.982 Å, I 98; (2 0 0), d = 2.880 Å, I 47; (0 3 1), d = 2.828 Å, I 31; (2 2 -2), d = 2.187 Å, I 38; (2 3 1), d = 1.970 Å, I 26

Structure:
abc: 5.814 9.083 7.982
angles: 90.00 97.80 90.00
Fractional coordinates of all 12 atoms:
Ac (0.021, 0.250, 0.041)
Ac (0.074, 0.750, 0.491)
Ac (0.473, 0.045, 0.759)
Ac (0.473, 0.455, 0.759)
Ac (0.527, 0.545, 0.241)
Ac (0.527, 0.955, 0.241)
Ac (0.926, 0.250, 0.509)
Ac (0.979, 0.750, 0.959)
Cu (0.397, 0.250, 0.399)
Cu (0.603, 0.750, 0.601)
Ni (0.462, 0.750, 0.898)
Ni (0.538, 0.250, 0.102)

---

3.
# Ac2Cu5Ni5
Theoretical powder X-ray diffraction pattern, Cu Kα, 1.54184 Å. Input: a PBE-relaxed structure.

Largest 8 diffraction maxima, in order of rising 2θ, 2θ = 10–90°:
(1 1 1), d = 2.984 Å, I 93; (0 1 3), d = 2.610 Å, I 39; (0 2 2), d = 2.266 Å, I 37; (1 2 0), d = 2.186 Å, I 49; (1 1 3), d = 2.181 Å, I 100; (2 0 0), d = 1.985 Å, I 32; (2 2 0), d = 1.581 Å, I 26; (1 3 3), d = 1.412 Å, I 24

Structure:
abc: 3.970 5.239 9.030
angles: 90.00 90.00 90.00
Fractional coordinates of all 12 atoms:
Ac (0.000, 0.000, 0.000)
Ac (0.000, 0.500, 0.500)
Cu (0.000, 0.000, 0.329)
Cu (0.000, 0.000, 0.671)
Cu (0.000, 0.500, 0.167)
Cu (0.000, 0.500, 0.833)
Cu (0.500, 0.000, 0.500)
Ni (0.500, 0.252, 0.249)
Ni (0.500, 0.252, 0.751)
Ni (0.500, 0.500, 0.000)
Ni (0.500, 0.748, 0.249)
Ni (0.500, 0.748, 0.751)